Diffraction record for K2PaB2S6. The powder diffraction line list is calculated, not measured: it uses a structure optimized by DFT (GGA-PBE) and copper Kα.
Kinematic intensities with the Lorentz-polarization factor, no thermal factor.

Structural model:
Cell: 11.537 6.736 8.201 Å, 90.00 118.74 90.00°
Space group C2/m (No. 12)
Unique sites:
1 K 0.204 0.000 0.186 x4
2 Pa 0.000 0.000 0.500 x2
3 B 0.063 0.500 0.283 x4
4 S 0.031 0.269 0.770 x8
5 S 0.240 0.500 0.366 x4

Principal peaks in the range 15° ≤ 2θ ≤ 90°, in order of rising 2θ:
- 2θ 15.8, intensity 100
- 2θ 17.3, intensity 51
- 2θ 22.6, intensity 39
- 2θ 25.6, intensity 76
- 2θ 29.3, intensity 41
- 2θ 34.9, intensity 43



Diffraction record for K2BPt2. The powder diffraction line list is calculated, not measured: it uses a structure optimized by DFT (GGA-PBE) and copper Kα.
Kinematic intensities with the Lorentz-polarization factor, no thermal factor.

Structural model:
Cell: 10.597 7.731 3.036 Å, 90.00 106.54 90.00°
Space group C2/m (No. 12)
Unique sites:
1 K 0.197 0.000 0.197 x4
2 B 0.000 0.500 0.000 x2
3 Pt 0.000 0.316 0.500 x4

Principal peaks in the range 15° ≤ 2θ ≤ 90°, in order of rising 2θ:
- 2θ 17.5, intensity 100
- 2θ 29.0, intensity 56
- 2θ 30.7, intensity 59
- 2θ 36.0, intensity 47
- 2θ 39.9, intensity 47
- 2θ 49.8, intensity 48



Diffraction record for KB6Pt12. The powder diffraction line list is calculated, not measured: it uses a structure optimized by DFT (GGA-PBE) and copper Kα.
Kinematic intensities with the Lorentz-polarization factor, no thermal factor.

Structural model:
Cell: 11.0430 11.0430 8.0919 Å, 90.00 90.00 120.00°
Space group R-3m (No. 166, hexagonal axes)
Unique sites:
1 K 0.0000 0.0000 0.0000 x3
2 B 0.0880 0.5440 0.3266 x18
3 Pt 0.0000 0.3755 0.5000 x18
4 Pt 0.0960 0.1920 0.3759 x18

Principal peaks in the range 15° ≤ 2θ ≤ 90°, in order of rising 2θ:
- 2θ 28.9, intensity 41
- 2θ 35.6, intensity 98
- 2θ 37.1, intensity 29
- 2θ 44.0, intensity 100
- 2θ 49.5, intensity 28
- 2θ 69.8, intensity 31



Diffraction record for KRbBS2. The powder diffraction line list is calculated, not measured: it uses a structure optimized by DFT (GGA-PBE) and copper Kα.
Kinematic intensities with the Lorentz-polarization factor, no thermal factor.

Structural model:
Cell: 8.634 4.604 8.773 Å, 90.00 90.53 90.00°
Space group P2/c (No. 13)
Unique sites:
1 K 0.000 0.009 0.250 x2
2 Rb 0.500 0.270 0.750 x2
3 B 0.000 0.500 0.000 x2
4 S 0.196 0.498 0.000 x4

Principal peaks in the range 15° ≤ 2θ ≤ 90°, in order of rising 2θ:
- 2θ 21.8, intensity 61
- 2θ 24.1, intensity 100
- 2θ 28.1, intensity 51
- 2θ 28.9, intensity 61
- 2θ 29.2, intensity 59
- 2θ 30.1, intensity 52



Diffraction record for KBRu. The powder diffraction line list is calculated, not measured: it uses a structure optimized by DFT (GGA-PBE) and copper Kα.
Kinematic intensities with the Lorentz-polarization factor, no thermal factor.

Structural model:
Cell: 4.006 4.006 10.144 Å, 90.00 91.31 90.00°
Space group P2_1/m (No. 11)
Unique sites:
1 K 0.234 0.250 0.229 x2
2 B 0.254 0.250 0.560 x2
3 Ru 0.250 0.750 0.500 x2

Principal peaks in the range 15° ≤ 2θ ≤ 90°, in order of rising 2θ:
- 2θ 17.5, intensity 82
- 2θ 26.4, intensity 94
- 2θ 32.7, intensity 65
- 2θ 33.0, intensity 75
- 2θ 36.1, intensity 100
- 2θ 36.6, intensity 93



Diffraction record for KB2S4. The powder diffraction line list is calculated, not measured: it uses a structure optimized by DFT (GGA-PBE) and copper Kα.
Kinematic intensities with the Lorentz-polarization factor, no thermal factor.

Structural model:
Cell: 6.742 6.994 9.753 Å, 84.15 85.64 89.31°
Space group P-1 (No. 2)
Unique sites:
1 K 0.223 0.491 0.242 x2
2 B 0.000 0.000 0.000 x1
3 B 0.000 0.000 0.500 x1
4 B 0.500 0.000 0.000 x1
5 B 0.500 0.500 0.500 x1
6 S 0.005 0.764 0.987 x2
7 S 0.007 0.234 0.522 x2
8 S 0.499 0.237 0.012 x2
9 S 0.499 0.261 0.528 x2

Principal peaks in the range 15° ≤ 2θ ≤ 90°, in order of rising 2θ:
- 2θ 18.3, intensity 100
- 2θ 26.5, intensity 39
- 2θ 30.1, intensity 50
- 2θ 31.2, intensity 64
- 2θ 33.6, intensity 57
- 2θ 37.1, intensity 61